Record 1
Starting from DFT lattice parameters and positions (PBE), the XRD peak list of PmHo2ErSc4 was calculated for Cu Kα (λ = 1.5418 Å).
Peak positions follow from Bragg's law for the DFT cell and can differ from measured ones.

Structural model:
```
PmHo2ErSc4
1.0
6.5064 -6.3259 0.0000
6.5064 6.3259 0.0000
-3.2631 0.0000 5.6406
Pm Ho Er Sc
2 4 2 8
Cartesian
3.2532 3.1629 0.0000
1.6216 -3.1629 2.8203
0.0000 0.0000 0.0000
-1.6316 0.0000 2.8203
1.6216 3.1629 2.8203
3.2532 -3.1629 0.0000
6.5064 0.0000 0.0000
4.8749 0.0000 2.8203
1.6299 0.0076 2.8170
-0.0016 -0.0076 5.6373
4.8726 3.1555 2.8238
3.2455 3.1555 5.6370
6.5042 -3.1555 0.0035
4.8771 -3.1555 2.8168
9.7514 0.0076 0.0032
8.1198 -0.0076 2.8235
```

Top 10 peaks for 2θ = 15–90°, low angle first:
| d (Å) | 2θ/deg | I/Imax |
| --- | --- | --- |
| 4.206 | 21.12 | 56 |
| 3.163 | 28.21 | 45 |
| 2.897 | 30.87 | 22 |
| 2.819 | 31.74 | 100 |
| 2.105 | 42.97 | 57 |
| 2.103 | 43.01 | 29 |
| 2.019 | 44.89 | 17 |
| 1.627 | 56.55 | 19 |
| 1.447 | 64.38 | 25 |
| 1.379 | 67.97 | 21 |

Record 2
Starting from DFT lattice parameters and positions (PBE), the XRD peak list of Pm2HoEr4Sc was calculated for Cu Kα (λ = 1.5418 Å).
Peak positions follow from Bragg's law for the DFT cell and can differ from measured ones.

Structural model:
```
Pm2HoEr4Sc
1.0
4.9817 0.0000 0.0000
0.0000 4.9817 0.0000
0.0000 0.0000 9.9020
Pm Ho Er Sc
2 1 4 1
Cartesian
0.0000 0.0000 0.0000
2.4909 2.4909 4.9510
0.0000 0.0000 4.9510
0.0000 2.4909 2.4346
0.0000 2.4909 7.4674
2.4909 0.0000 2.4346
2.4909 0.0000 7.4674
2.4909 2.4909 0.0000
```

Top 10 peaks for 2θ = 15–90°, low angle first:
| d (Å) | 2θ/deg | I/Imax |
| --- | --- | --- |
| 2.870 | 31.16 | 100 |
| 2.491 | 36.06 | 34 |
| 2.475 | 36.29 | 17 |
| 1.761 | 51.91 | 12 |
| 1.756 | 52.09 | 24 |
| 1.501 | 61.80 | 28 |
| 1.494 | 62.11 | 14 |
| 1.435 | 64.98 | 12 |
| 1.143 | 84.87 | 6 |
| 1.140 | 85.15 | 12 |

Record 3
Starting from DFT lattice parameters and positions (PBE), the XRD peak list of PmHoEr4Sc2 was calculated for Cu Kα (λ = 1.5418 Å).
Peak positions follow from Bragg's law for the DFT cell and can differ from measured ones.

Structural model:
```
PmHoEr4Sc2
1.0
6.9240 0.0000 0.0000
3.4552 6.0056 0.0000
3.4436 1.9988 11.3109
Pm Ho Er Sc
2 2 8 4
Cartesian
0.0000 0.0000 0.0000
3.4494 4.0022 5.6555
1.7218 0.9994 5.6555
5.1838 0.9994 5.6555
5.1885 3.0057 8.5141
6.9028 5.9875 8.5109
3.4585 2.0010 2.7372
5.1999 4.9986 2.7987
8.6229 3.0058 8.5122
10.3643 6.0034 8.5737
6.9199 2.0169 2.8000
8.6343 4.9987 2.7968
1.7276 3.0028 0.0000
3.4620 0.0000 0.0000
5.1896 3.0028 0.0000
6.9114 4.0022 5.6555
```

Top 10 peaks for 2θ = 15–90°, low angle first:
| d (Å) | 2θ/deg | I/Imax |
| --- | --- | --- |
| 5.655 | 15.67 | 8 |
| 2.828 | 31.63 | 100 |
| 2.450 | 36.69 | 50 |
| 1.732 | 52.86 | 35 |
| 1.478 | 62.90 | 31 |
| 1.476 | 62.99 | 10 |
| 1.414 | 66.06 | 12 |
| 1.125 | 86.55 | 6 |
| 1.124 | 86.65 | 11 |
| 1.096 | 89.39 | 8 |

Record 4
Starting from DFT lattice parameters and positions (PBE), the XRD peak list of PmHo2Er2Sc2 was calculated for Cu Kα (λ = 1.5418 Å).
Peak positions follow from Bragg's law for the DFT cell and can differ from measured ones.

Structural model:
```
PmHo2Er2Sc2
1.0
2.7303 -10.9986 0.0000
2.7303 10.9986 0.0000
0.0000 0.0000 3.4391
Pm Ho Er Sc
1 2 2 2
Cartesian
0.0000 0.0000 0.0000
2.7303 1.6214 1.7196
2.7303 -1.6214 1.7196
2.7303 7.4779 1.7196
2.7303 -7.4779 1.7196
2.7303 4.5540 0.0000
2.7303 -4.5540 0.0000
```

Top 10 peaks for 2θ = 15–90°, low angle first:
| d (Å) | 2θ/deg | I/Imax |
| --- | --- | --- |
| 3.439 | 25.91 | 15 |
| 3.426 | 26.01 | 26 |
| 2.916 | 30.66 | 28 |
| 2.885 | 31.00 | 13 |
| 2.726 | 32.85 | 100 |
| 2.705 | 33.12 | 68 |
| 2.137 | 42.30 | 19 |
| 1.993 | 45.51 | 19 |
| 1.571 | 58.76 | 16 |
| 1.454 | 64.02 | 29 |

Record 5
Starting from DFT lattice parameters and positions (PBE), the XRD peak list of Pm3Sm2Ho6Er was calculated for Cu Kα (λ = 1.5418 Å).
Peak positions follow from Bragg's law for the DFT cell and can differ from measured ones.

Structural model:
```
Pm3Sm2Ho6Er
1.0
3.0962 -5.3600 0.0000
3.0962 5.3600 0.0000
-2.0557 0.0000 11.6108
Pm Sm Ho Er
3 2 6 1
Cartesian
0.0000 0.0000 0.0000
3.0962 1.7868 0.0000
3.0962 -1.7868 0.0000
2.0683 3.5753 5.8054
2.0683 -3.5753 5.8054
1.0350 1.7843 2.9209
0.0101 0.0000 8.6928
1.0350 -1.7843 2.9209
3.1015 1.7843 8.6900
4.1265 0.0000 2.9180
3.1015 -1.7843 8.6900
2.0683 0.0000 5.8054
```

Top 10 peaks for 2θ = 15–90°, low angle first:
| d (Å) | 2θ/deg | I/Imax |
| --- | --- | --- |
| 2.917 | 30.65 | 100 |
| 2.903 | 30.80 | 33 |
| 2.523 | 35.59 | 67 |
| 1.787 | 51.11 | 24 |
| 1.781 | 51.31 | 24 |
| 1.522 | 60.85 | 38 |
| 1.518 | 61.05 | 14 |
| 1.458 | 63.83 | 12 |
| 1.160 | 83.34 | 12 |
| 1.130 | 86.05 | 11 |

Record 6
Starting from DFT lattice parameters and positions (PBE), the XRD peak list of Pm2Sm5HoEr was calculated for Cu Kα (λ = 1.5418 Å).
Peak positions follow from Bragg's law for the DFT cell and can differ from measured ones.

Structural model:
```
Pm2Sm5HoEr
1.0
-4.3104 4.3104 8.1406
4.3104 -4.3104 8.1406
4.3104 4.3104 -8.1406
Pm Sm Ho Er
4 10 2 2
Cartesian
5.3431 1.0327 0.0000
1.0327 3.2776 0.0000
3.2776 1.0327 8.1406
-1.0327 3.2776 8.1406
0.0000 0.0000 0.0000
2.4613 1.8491 -2.3092
2.4613 -1.8491 5.8314
2.4613 1.8491 2.3092
2.4613 -1.8491 10.4499
0.0000 0.0000 8.1406
1.8491 6.1595 -2.3092
1.8491 2.4613 5.8314
1.8491 6.1595 2.3092
1.8491 2.4613 10.4499
0.0000 0.0000 4.0703
0.0000 0.0000 12.2110
4.3104 0.0000 4.0703
0.0000 4.3104 4.0703
```

Top 10 peaks for 2θ = 15–90°, low angle first:
| d (Å) | 2θ/deg | I/Imax |
| --- | --- | --- |
| 3.143 | 28.40 | 43 |
| 3.048 | 29.30 | 52 |
| 2.959 | 30.20 | 100 |
| 2.726 | 32.85 | 11 |
| 2.366 | 38.04 | 14 |
| 2.296 | 39.23 | 12 |
| 2.083 | 43.43 | 11 |
| 2.035 | 44.52 | 13 |
| 1.742 | 52.53 | 26 |
| 1.692 | 54.20 | 14 |

Record 7
Starting from DFT lattice parameters and positions (PBE), the XRD peak list of PmSm2Ho6Er3 was calculated for Cu Kα (λ = 1.5418 Å).
Peak positions follow from Bragg's law for the DFT cell and can differ from measured ones.

Structural model:
```
PmSm2Ho6Er3
1.0
3.0738 -5.3191 0.0000
3.0738 5.3191 0.0000
-2.0408 0.0000 11.5610
Pm Sm Ho Er
1 2 6 3
Cartesian
0.0000 0.0000 0.0000
3.0738 1.7732 0.0000
3.0738 -1.7732 0.0000
1.0298 1.7736 2.9317
0.0042 0.0000 8.6300
1.0298 -1.7736 2.9317
3.0770 1.7736 8.6294
4.1026 0.0000 2.9310
3.0770 -1.7736 8.6294
2.0534 3.5463 5.7805
2.0534 0.0000 5.7805
2.0534 -3.5463 5.7805
```

Top 10 peaks for 2θ = 15–90°, low angle first:
| d (Å) | 2θ/deg | I/Imax |
| --- | --- | --- |
| 2.895 | 30.89 | 100 |
| 2.507 | 35.82 | 51 |
| 1.773 | 51.55 | 30 |
| 1.771 | 51.61 | 6 |
| 1.512 | 61.31 | 32 |
| 1.510 | 61.39 | 11 |
| 1.448 | 64.34 | 9 |
| 1.253 | 75.92 | 6 |
| 1.151 | 84.10 | 9 |
| 1.150 | 84.23 | 7 |

Record 8
Starting from DFT lattice parameters and positions (PBE), the XRD peak list of Pm2SmHoEr5 was calculated for Cu Kα (λ = 1.5418 Å).
Peak positions follow from Bragg's law for the DFT cell and can differ from measured ones.

Structural model:
```
Pm2SmHoEr5
1.0
-4.3323 4.3323 7.6870
4.3323 -4.3323 7.6870
4.3323 4.3323 -7.6870
Pm Sm Ho Er
4 2 2 10
Cartesian
5.3415 1.0092 0.0000
1.0092 3.3231 0.0000
3.3231 1.0092 7.6870
-1.0092 3.3231 7.6870
0.0000 0.0000 3.8435
0.0000 0.0000 11.5305
4.3323 0.0000 3.8435
0.0000 4.3323 3.8435
0.0000 0.0000 0.0000
2.5089 1.8234 -2.1210
2.5089 -1.8234 5.5660
2.5089 1.8234 2.1210
2.5089 -1.8234 9.8080
0.0000 0.0000 7.6870
1.8234 6.1556 -2.1210
1.8234 2.5089 5.5660
1.8234 6.1556 2.1210
1.8234 2.5089 9.8080
```

Top 10 peaks for 2θ = 15–90°, low angle first:
| d (Å) | 2θ/deg | I/Imax |
| --- | --- | --- |
| 3.091 | 28.89 | 45 |
| 3.063 | 29.15 | 52 |
| 2.875 | 31.11 | 100 |
| 2.740 | 32.68 | 12 |
| 2.581 | 34.76 | 11 |
| 2.374 | 37.89 | 16 |
| 2.083 | 43.44 | 20 |
| 1.922 | 47.30 | 12 |
| 1.730 | 52.92 | 23 |
| 1.628 | 56.53 | 13 |

Record 9
Starting from DFT lattice parameters and positions (PBE), the XRD peak list of PmSm2Ho4Er was calculated for Cu Kα (λ = 1.5418 Å).
Peak positions follow from Bragg's law for the DFT cell and can differ from measured ones.

Structural model:
```
PmSm2Ho4Er
1.0
6.8004 -6.6292 0.0000
6.8004 6.6292 0.0000
-3.3989 0.0000 5.8895
Pm Sm Ho Er
2 4 8 2
Cartesian
3.4002 3.3146 0.0000
1.7008 -3.3146 2.9447
0.0000 0.0000 0.0000
-1.6994 0.0000 2.9447
1.7008 3.3146 2.9447
3.4002 -3.3146 0.0000
3.4297 -0.0011 0.0275
1.7303 0.0011 2.9722
3.4015 3.2696 5.8872
5.1011 3.2696 2.9471
6.8005 -3.2696 0.0023
5.1009 -3.2696 2.9424
8.4717 -0.0011 2.9173
6.7723 0.0011 5.8620
6.8004 0.0000 0.0000
5.1010 0.0000 2.9447
```

Top 10 peaks for 2θ = 15–90°, low angle first:
| d (Å) | 2θ/deg | I/Imax |
| --- | --- | --- |
| 3.315 | 26.90 | 45 |
| 2.945 | 30.35 | 100 |
| 2.201 | 41.00 | 89 |
| 1.700 | 53.93 | 20 |
| 1.513 | 61.28 | 27 |
| 1.472 | 63.15 | 12 |
| 1.444 | 64.52 | 23 |
| 1.346 | 69.91 | 18 |
| 1.187 | 81.02 | 12 |
| 1.113 | 87.68 | 10 |

Record 10
Starting from DFT lattice parameters and positions (PBE), the XRD peak list of Pm2SmHoEr6 was calculated for Cu Kα (λ = 1.5418 Å).
Peak positions follow from Bragg's law for the DFT cell and can differ from measured ones.

Structural model:
```
Pm2SmHoEr6
1.0
4.4952 -7.4872 0.0000
4.4952 7.4872 0.0000
-1.4538 0.0000 9.5139
Pm Sm Ho Er
4 2 2 12
Cartesian
2.1495 0.7724 0.4110
1.4226 -0.7724 5.1680
6.1141 0.7724 4.3459
5.3872 -0.7724 9.1029
4.1318 7.2002 2.3785
3.4049 -7.2002 7.1354
3.4049 1.3857 7.1354
4.1318 -1.3857 2.3785
2.4005 4.1295 1.7667
3.0865 4.6318 5.3036
3.7233 4.6318 8.9672
3.0416 1.5950 3.6251
5.8631 4.1295 2.9903
5.2219 1.5950 1.1318
2.3147 -1.5950 8.3821
1.6736 -4.1295 6.5236
4.4950 -1.5950 5.8888
3.8134 -4.6318 0.5466
4.4501 -4.6318 4.2103
5.1362 -4.1295 7.7472
```

Top 10 peaks for 2θ = 15–90°, low angle first:
| d (Å) | 2θ/deg | I/Imax |
| --- | --- | --- |
| 3.099 | 28.81 | 56 |
| 2.920 | 30.62 | 66 |
| 2.902 | 30.81 | 95 |
| 2.838 | 31.52 | 77 |
| 2.818 | 31.75 | 54 |
| 2.806 | 31.89 | 100 |
| 2.756 | 32.48 | 25 |
| 2.659 | 33.71 | 94 |
| 2.357 | 38.19 | 24 |
| 1.514 | 61.24 | 34 |

Record 11
Starting from DFT lattice parameters and positions (PBE), the XRD peak list of PmSm2HoEr2 was calculated for Cu Kα (λ = 1.5418 Å).
Peak positions follow from Bragg's law for the DFT cell and can differ from measured ones.

Structural model:
```
PmSm2HoEr2
1.0
6.6320 0.0000 0.0000
0.0000 17.6048 0.0000
0.0000 0.0000 3.3892
Pm Sm Ho Er
2 4 2 4
Cartesian
0.0000 0.0000 0.0000
3.3160 8.8024 1.6946
1.5218 6.1377 1.6946
1.7942 14.9401 0.0000
4.8378 2.6647 0.0000
5.1102 11.4671 1.6946
0.0000 8.8024 0.0000
3.3160 0.0000 1.6946
1.5507 3.1485 0.0000
1.7653 11.9509 1.6946
4.8667 5.6539 1.6946
5.0813 14.4563 0.0000
```

Top 10 peaks for 2θ = 15–90°, low angle first:
| d (Å) | 2θ/deg | I/Imax |
| --- | --- | --- |
| 3.324 | 26.82 | 25 |
| 3.103 | 28.77 | 56 |
| 2.935 | 30.46 | 100 |
| 2.855 | 31.33 | 22 |
| 2.648 | 33.85 | 37 |
| 2.489 | 36.09 | 19 |
| 2.198 | 41.07 | 42 |
| 1.694 | 54.13 | 17 |
| 1.467 | 63.38 | 17 |
| 1.444 | 64.56 | 20 |

Record 12
Starting from DFT lattice parameters and positions (PBE), the XRD peak list of Tb4PmHo2Er was calculated for Cu Kα (λ = 1.5418 Å).
Peak positions follow from Bragg's law for the DFT cell and can differ from measured ones.

Structural model:
```
Tb4PmHo2Er
1.0
7.1082 0.0000 0.0000
3.5502 6.1596 0.0000
3.5453 2.0413 11.6017
Tb Pm Ho Er
8 2 4 2
Cartesian
3.5458 2.0498 2.9034
5.3245 5.1343 2.9011
5.3246 3.0587 8.7033
7.0956 6.1409 8.6938
7.1081 2.0600 2.9079
8.8792 5.1421 2.8984
8.8792 3.0666 8.7006
10.6579 6.1510 8.6983
3.5478 4.1004 5.8009
5.3292 3.0798 0.0000
0.0000 0.0000 0.0000
1.7726 1.0206 5.8009
1.7751 3.0798 0.0000
3.5541 0.0000 0.0000
5.3268 1.0206 5.8009
7.1019 4.1004 5.8009
```

Top 10 peaks for 2θ = 15–90°, low angle first:
| d (Å) | 2θ/deg | I/Imax |
| --- | --- | --- |
| 2.902 | 30.81 | 100 |
| 2.513 | 35.73 | 51 |
| 1.777 | 51.42 | 36 |
| 1.516 | 61.15 | 39 |
| 1.451 | 64.19 | 12 |
| 1.257 | 75.65 | 4 |
| 1.153 | 83.89 | 13 |
| 1.153 | 83.96 | 4 |
| 1.124 | 86.58 | 10 |
| 1.123 | 86.67 | 7 |